Diffraction record for NaCa2Tl5. The X-ray diffraction stick pattern is simulated, not measured: it uses a DFT-relaxed cell (GGA-PBE, Alexandria) and Cu Ka.
Lines closer than 0.1° are merged.

Cell and atoms:
a = 7.713 Å, b = 7.713 Å, c = 7.888 Å
α = 90.00°, β = 90.00°, γ = 90.00°
Space group I4mm (No. 107)
One atom of each set of equivalent atoms:
Na  0.000  0.000  0.000 x2
Ca  0.000  0.500  0.000 x4
Tl  0.000  0.000  0.501 x2
Tl  0.250  0.250  0.250 x8

Most intense lines, 2θ from 5° to 70°, by intensity:
- 2θ 32.5, rel. 100.0, hkl 2 0 2
- 2θ 32.8, rel. 48.5, hkl 2 2 0
- 2θ 58.4, rel. 37.9, hkl 4 2 2
- 2θ 23.1, rel. 22.5, hkl 2 0 0
- 2θ 57.7, rel. 19.6, hkl 2 2 4
- 2θ 47.1, rel. 17.9, hkl 4 0 0
- 2θ 16.1, rel. 13.3, hkl 1 0 1
- 2θ 68.0, rel. 12.0, hkl 4 0 4

Diffraction record for Na3Ca2Tl4. The X-ray diffraction stick pattern is simulated, not measured: it uses a DFT-relaxed cell (GGA-PBE, Alexandria) and Cu Ka.
Lines closer than 0.1° are merged.

Cell and atoms:
a = 9.493 Å, b = 5.473 Å, c = 10.170 Å
α = 90.00°, β = 90.14°, γ = 90.00°
Space group C2/m (No. 12)
One atom of each set of equivalent atoms:
Na  0.000  0.000  0.000 x2
Na  0.166  0.500  0.567 x4
Ca  0.167  0.500  0.209 x4
Tl  0.000  0.000  0.337 x4
Tl  0.166  0.500  0.886 x4

Most intense lines, 2θ from 5° to 70°, by intensity:
- 2θ 32.5, rel. 100.0, hkl 2 0 3
- 2θ 32.7, rel. 95.6, hkl 3 1 0
- 2θ 20.7, rel. 85.6, hkl 1 1 1
- 2θ 25.7, rel. 38.6, hkl 2 0 -2
- 2θ 58.3, rel. 31.3, hkl 6 0 0
- 2θ 46.8, rel. 23.7, hkl 2 2 3
- 2θ 57.8, rel. 18.2, hkl 1 1 6
- 2θ 39.0, rel. 17.5, hkl 4 0 1

Diffraction record for Na3CaTl7. The X-ray diffraction stick pattern is simulated, not measured: it uses a DFT-relaxed cell (GGA-PBE, Alexandria) and Cu Ka.
Lines closer than 0.1° are merged.

Cell and atoms:
a = 10.832 Å, b = 10.799 Å, c = 6.439 Å
α = 90.00°, β = 112.25°, γ = 90.00°
Space group C2/m (No. 12)
One atom of each set of equivalent atoms:
Na  0.000  0.000  0.000 x2
Na  0.000  0.209  0.500 x4
Ca  0.000  0.500  0.000 x2
Tl  0.000  0.500  0.500 x2
Tl  0.186  0.235  0.185 x8
Tl  0.217  0.000  0.536 x4

Most intense lines, 2θ from 5° to 70°, by intensity:
- 2θ 22.2, rel. 100.0, hkl 0 2 1
- 2θ 32.0, rel. 79.6, hkl 2 2 1
- 2θ 33.1, rel. 77.3, hkl 4 0 -1
- 2θ 34.4, rel. 67.6, hkl 0 2 2
- 2θ 33.2, rel. 61.0, hkl 0 4 0
- 2θ 17.7, rel. 49.3, hkl 2 0 0
- 2θ 28.5, rel. 32.5, hkl 2 0 -2
- 2θ 35.5, rel. 29.4, hkl 3 3 -1

Diffraction record for Na2Ca2Tl3. The X-ray diffraction stick pattern is simulated, not measured: it uses a DFT-relaxed cell (GGA-PBE, Alexandria) and Cu Ka.
Lines closer than 0.1° are merged.

Cell and atoms:
a = 3.928 Å, b = 28.803 Å, c = 3.835 Å
α = 90.00°, β = 90.00°, γ = 90.00°
Space group Cmmm (No. 65)
One atom of each set of equivalent atoms:
Na  0.000  0.199  0.000 x4
Ca  0.000  0.067  0.000 x4
Tl  0.000  0.364  0.500 x4
Tl  0.000  0.500  0.500 x2

Most intense lines, 2θ from 5° to 70°, by intensity:
- 2θ 32.8, rel. 100.0, hkl 1 1 1
- 2θ 6.1, rel. 96.8, hkl 0 2 0
- 2θ 31.5, rel. 88.4, hkl 1 7 0
- 2θ 34.2, rel. 64.8, hkl 0 8 1
- 2θ 58.7, rel. 59.2, hkl 1 15 1
- 2θ 22.8, rel. 53.3, hkl 1 1 0
- 2θ 39.5, rel. 41.4, hkl 1 7 1
- 2θ 23.2, rel. 40.6, hkl 0 0 1